1.
Simulated powder XRD pattern
Compound: ZrPb3F10
Radiation: copper Kα
Structure: the GGA-PBE geometry in OQMD

Peak list (10 most intense, 15 to 90 degrees two-theta, low angle first)
- 26.80°, 3.327 Å, rel. 100.0, (2 2 1)
- 27.43°, 3.252 Å, rel. 20.5, (1 3 1)
- 28.28°, 3.156 Å, rel. 16.7, (0 4 0)
- 30.46°, 2.935 Å, rel. 18.6, (0 0 2)
- 40.74°, 2.215 Å, rel. 14.9, (3 1 2)
- 42.04°, 2.149 Å, rel. 19.3, (0 4 2)
- 44.22°, 2.048 Å, rel. 11.7, (3 5 0)
- 46.41°, 1.957 Å, rel. 17.4, (4 0 2)
- 51.00°, 1.791 Å, rel. 12.1, (5 3 1)
- 51.93°, 1.761 Å, rel. 19.2, (2 2 3)

Atomic structure:
Unit cell a=10.508 b=12.624 c=5.870 alpha=90.00 beta=90.00 gamma=90.00
Space group Cmcm (No. 63)
Symmetry-distinct sites (fractional):
Zr: 0.000 0.181 0.250 (multiplicity 4)
Pb: 0.000 0.389 0.750 (multiplicity 4)
Pb: 0.216 0.108 0.750 (multiplicity 8)
F: 0.000 0.097 0.548 (multiplicity 8)
F: 0.123 0.273 0.032 (multiplicity 16)
F: 0.135 0.500 0.000 (multiplicity 8)
F: 0.172 0.091 0.250 (multiplicity 8)

2.
Simulated powder XRD pattern
Compound: SrGa5NiPd
Radiation: copper Kα
Structure: the GGA-PBE geometry in OQMD

Peak list (10 most intense, 15 to 90 degrees two-theta, low angle first)
- 17.77°, 4.991 Å, rel. 19.3, (0 0 2)
- 29.53°, 3.025 Å, rel. 22.6, (0 1 3)
- 30.88°, 2.896 Å, rel. 31.6, (1 1 2)
- 34.27°, 2.617 Å, rel. 100.0, (1 2 1)
- 34.80°, 2.578 Å, rel. 85.8, (1 0 3)
- 43.48°, 2.081 Å, rel. 47.0, (1 3 0)
- 44.03°, 2.056 Å, rel. 62.3, (0 2 4)
- 44.41°, 2.040 Å, rel. 77.6, (2 0 0)
- 47.32°, 1.921 Å, rel. 33.3, (1 3 2)
- 64.35°, 1.448 Å, rel. 38.8, (2 2 4)

Atomic structure:
Unit cell a=4.077 b=7.261 c=9.982 alpha=90.00 beta=90.00 gamma=90.00
Space group Imm2 (No. 44)
Symmetry-distinct sites (fractional):
Sr: 0.000 0.000 0.000 (multiplicity 2)
Ga: 0.000 0.184 0.342 (multiplicity 4)
Ga: 0.000 0.201 0.651 (multiplicity 4)
Ga: 0.000 0.500 0.992 (multiplicity 2)
Ni: 0.000 0.500 0.761 (multiplicity 2)
Pd: 0.000 0.500 0.235 (multiplicity 2)

3.
Simulated powder XRD pattern
Compound: SrMgZnIn2
Radiation: copper Kα
Structure: the GGA-PBE geometry in OQMD

Peak list (10 most intense, 15 to 90 degrees two-theta, low angle first)
- 29.18°, 3.061 Å, rel. 31.1, (0 0 4)
- 30.92°, 2.892 Å, rel. 100.0, (1 1 2)
- 38.79°, 2.321 Å, rel. 40.2, (2 0 0)
- 40.31°, 2.237 Å, rel. 24.1, (1 1 4)
- 41.74°, 2.164 Å, rel. 12.4, (1 0 5)
- 49.27°, 1.849 Å, rel. 20.1, (2 0 4)
- 52.88°, 1.732 Å, rel. 12.9, (1 1 6)
- 56.02°, 1.642 Å, rel. 13.3, (2 2 0)
- 65.37°, 1.428 Å, rel. 22.1, (3 1 2)
- 74.29°, 1.277 Å, rel. 9.2, (2 0 8)

Atomic structure:
Unit cell a=4.643 b=4.643 c=12.228 alpha=90.00 beta=90.00 gamma=90.00
Space group I4mm (No. 107)
Symmetry-distinct sites (fractional):
Sr: 0.000 0.000 0.000 (multiplicity 2)
Mg: 0.000 0.000 0.387 (multiplicity 2)
Zn: 0.000 0.000 0.603 (multiplicity 2)
In: 0.000 0.500 0.237 (multiplicity 4)

4.
Simulated powder XRD pattern
Compound: Zr2OsW6
Radiation: copper Kα
Structure: the GGA-PBE geometry in OQMD

Peak list (10 most intense, 15 to 90 degrees two-theta, low angle first)
- 18.45°, 4.809 Å, rel. 18.1, (0 0 3)
- 37.40°, 2.405 Å, rel. 53.4, (0 0 6)
- 38.18°, 2.357 Å, rel. 55.9, (1 1 2)
- 40.75°, 2.214 Å, rel. 100.0, (1 1 3)
- 42.54°, 2.125 Å, rel. 40.2, (0 2 0)
- 44.15°, 2.051 Å, rel. 63.4, (1 1 4)
- 57.91°, 1.592 Å, rel. 30.3, (0 2 6)
- 76.24°, 1.249 Å, rel. 17.9, (1 1 10)
- 76.65°, 1.243 Å, rel. 19.2, (1 3 3)
- 88.27°, 1.107 Å, rel. 19.4, (2 2 6)

Atomic structure:
Unit cell a=3.080 b=4.250 c=14.427 alpha=90.00 beta=90.00 gamma=90.00
Space group Pmmm (No. 47)
Symmetry-distinct sites (fractional):
Zr: 0.000 0.000 0.177 (multiplicity 2)
Os: 0.500 0.500 0.500 (multiplicity 1)
W: 0.000 0.000 0.000 (multiplicity 1)
W: 0.000 0.000 0.500 (multiplicity 1)
W: 0.000 0.500 0.335 (multiplicity 2)
W: 0.500 0.000 0.346 (multiplicity 2)

5.
Simulated powder XRD pattern
Compound: ZrTaZn2Co2Ir2
Radiation: copper Kα
Structure: the GGA-PBE geometry in OQMD

Peak list (10 most intense, 15 to 90 degrees two-theta, low angle first)
- 25.01°, 3.560 Å, rel. 35.6, (1 0 1)
- 41.37°, 2.182 Å, rel. 100.0, (1 1 2)
- 41.51°, 2.176 Å, rel. 50.0, (2 0 0)
- 48.83°, 1.865 Å, rel. 6.1, (1 0 3)
- 49.07°, 1.856 Å, rel. 12.3, (2 1 1)
- 59.73°, 1.548 Å, rel. 8.1, (0 0 4)
- 60.15°, 1.538 Å, rel. 16.5, (2 2 0)
- 75.35°, 1.261 Å, rel. 16.2, (2 0 4)
- 75.63°, 1.257 Å, rel. 32.9, (3 1 2)
- 89.90°, 1.091 Å, rel. 10.7, (2 2 4)

Atomic structure:
Unit cell a=4.351 b=4.351 c=6.192 alpha=90.00 beta=90.00 gamma=90.00
Space group P-4m2 (No. 115)
Symmetry-distinct sites (fractional):
Zr: 0.000 0.000 0.000 (multiplicity 1)
Ta: 0.500 0.500 0.500 (multiplicity 1)
Zn: 0.000 0.000 0.500 (multiplicity 1)
Zn: 0.500 0.500 0.000 (multiplicity 1)
Co: 0.000 0.500 0.739 (multiplicity 2)
Ir: 0.000 0.500 0.261 (multiplicity 2)

6.
Simulated powder XRD pattern
Compound: DyYTm2Cd2
Radiation: copper Kα
Structure: the GGA-PBE geometry in OQMD

Peak list (10 most intense, 15 to 90 degrees two-theta, low angle first)
- 31.82°, 2.812 Å, rel. 20.6, (0 0 6)
- 33.53°, 2.673 Å, rel. 28.8, (2 0 0)
- 33.90°, 2.645 Å, rel. 100.0, (1 1 3)
- 36.09°, 2.489 Å, rel. 14.3, (1 0 6)
- 46.90°, 1.937 Å, rel. 13.9, (2 0 6)
- 50.44°, 1.809 Å, rel. 9.0, (0 2 0)
- 58.02°, 1.590 Å, rel. 7.9, (1 1 9)
- 60.18°, 1.538 Å, rel. 18.8, (3 1 3)
- 61.93°, 1.498 Å, rel. 9.6, (2 2 0)
- 66.13°, 1.413 Å, rel. 8.6, (2 1 9)

Atomic structure:
Unit cell a=5.346 b=3.619 c=16.874 alpha=90.00 beta=90.00 gamma=90.00
Space group Amm2 (No. 38)
Symmetry-distinct sites (fractional):
Dy: 0.000 0.000 0.000 (multiplicity 2)
Y: 0.500 0.000 0.821 (multiplicity 2)
Tm: 0.000 0.000 0.685 (multiplicity 2)
Tm: 0.500 0.000 0.136 (multiplicity 2)
Cd: 0.000 0.000 0.341 (multiplicity 2)
Cd: 0.500 0.000 0.480 (multiplicity 2)

7.
Simulated powder XRD pattern
Compound: HoSbAsO
Radiation: copper Kα
Structure: the GGA-PBE geometry in OQMD

Peak list (10 most intense, 15 to 90 degrees two-theta, low angle first)
- 17.34°, 5.113 Å, rel. 30.9, (0 0 2)
- 28.06°, 3.180 Å, rel. 79.8, (1 0 2)
- 32.38°, 2.765 Å, rel. 100.0, (1 1 1)
- 34.35°, 2.611 Å, rel. 86.7, (1 0 3)
- 35.87°, 2.504 Å, rel. 36.6, (1 1 2)
- 44.63°, 2.031 Å, rel. 55.7, (2 0 0)
- 53.55°, 1.711 Å, rel. 26.7, (2 1 2)
- 57.50°, 1.603 Å, rel. 39.4, (2 1 3)
- 63.47°, 1.466 Å, rel. 30.6, (1 1 6)
- 64.69°, 1.441 Å, rel. 24.8, (2 0 5)

Atomic structure:
Unit cell a=4.061 b=4.061 c=10.226 alpha=90.00 beta=90.00 gamma=90.00
Space group P4/nmm (No. 129, origin choice 2)
Symmetry-distinct sites (fractional):
Ho: 0.250 0.250 0.098 (multiplicity 2)
Sb: 0.250 0.750 0.500 (multiplicity 2)
As: 0.250 0.250 0.733 (multiplicity 2)
O: 0.250 0.750 0.000 (multiplicity 2)

8.
Simulated powder XRD pattern
Compound: Hg19As10Br18
Radiation: copper Kα
Structure: the GGA-PBE geometry in OQMD

Peak list (10 most intense, 15 to 90 degrees two-theta, low angle first)
- 21.37°, 4.158 Å, rel. 34.0, (0 1 2)
- 24.68°, 3.608 Å, rel. 15.2, (1 2 -3)
- 24.89°, 3.577 Å, rel. 12.1, (3 0 -1)
- 25.03°, 3.558 Å, rel. 40.2, (2 -2 2)
- 29.11°, 3.067 Å, rel. 100.0, (-3 1 3)
- 31.03°, 2.882 Å, rel. 9.9, (2 -2 3)
- 39.73°, 2.268 Å, rel. 12.9, (-2 4 2)
- 43.48°, 2.081 Å, rel. 20.9, (4 2 -4)
- 45.28°, 2.003 Å, rel. 9.9, (-3 2 5)
- 48.78°, 1.867 Å, rel. 9.6, (-2 1 6)

Atomic structure:
Unit cell a=11.421 b=11.491 c=12.474 alpha=106.01 beta=105.79 gamma=109.08
Space group P-1 (No. 2)
Symmetry-distinct sites (fractional):
Hg: 0.000 0.000 0.000 (multiplicity 1)
Hg: 0.070 0.742 0.181 (multiplicity 2)
Hg: 0.074 0.422 0.284 (multiplicity 2)
Hg: 0.126 0.126 0.407 (multiplicity 2)
Hg: 0.207 0.802 0.589 (multiplicity 2)
Hg: 0.305 0.502 0.778 (multiplicity 2)
Hg: 0.306 0.190 0.895 (multiplicity 2)
Hg: 0.326 0.884 0.004 (multiplicity 2)
Hg: 0.366 0.606 0.176 (multiplicity 2)
Hg: 0.486 0.704 0.575 (multiplicity 2)
As: 0.041 0.798 0.695 (multiplicity 2)
As: 0.166 0.969 0.901 (multiplicity 2)
As: 0.219 0.649 0.289 (multiplicity 2)
As: 0.375 0.834 0.489 (multiplicity 2)
As: 0.448 0.415 0.896 (multiplicity 2)
Br: 0.039 0.159 0.654 (multiplicity 2)
Br: 0.120 0.299 0.024 (multiplicity 2)
Br: 0.142 0.489 0.582 (multiplicity 2)
Br: 0.166 0.595 0.931 (multiplicity 2)
Br: 0.223 0.018 0.226 (multiplicity 2)
Br: 0.339 0.179 0.584 (multiplicity 2)
Br: 0.382 0.411 0.331 (multiplicity 2)
Br: 0.466 0.787 0.863 (multiplicity 2)
Br: 0.499 0.088 0.793 (multiplicity 2)

Question: Number 6 is which compound?
Answer: DyYTm2Cd2